Record 1
Starting from a DFT-relaxed cell (GGA-PBE, Alexandria), the powder diffractogram of HoEr3Fe8 was computed for Cu Kα, 1.54184 Å.
Kinematic intensities with the Lorentz-polarization factor, no thermal factor.

Lattice parameters (Å, degrees): 5.1031 5.1031 24.9311 90.00 90.00 120.00
Space group R3m (No. 160, hexagonal axes)
Unique sites:
Ho (0.0000, 0.0000, 0.0000) x3
Er (0.0000, 0.0000, 0.1250) x3
Er (0.0000, 0.0000, 0.5000) x3
Er (0.0000, 0.0000, 0.6249) x3
Fe (0.0000, 0.0000, 0.3124) x3
Fe (0.0000, 0.0000, 0.8125) x3
Fe (0.0002, 0.5001, 0.0627) x9
Fe (0.9997, 0.4999, 0.5623) x9

Main lines, in order of falling intensity (10 to 90 degrees two-theta):
2theta	I (rel.)	index
41.54	100	2 0 2
35.21	70	1 1 0
67.47	23	2 1 10
63.14	19	3 0 0
21.34	19	0 1 2
74.35	11	2 2 0
74.51	11	0 2 16
43.45	10	0 2 4
88.97	8	1 3 10
67.58	8	0 0 18
63.28	6	1 0 16
85.04	6	3 1 8

Record 2
Starting from a DFT-relaxed cell (GGA-PBE, Alexandria), the powder diffractogram of Rb2BaNiCl6 was computed for Cu Kα, 1.54184 Å.
Kinematic intensities with the Lorentz-polarization factor, no thermal factor.

Lattice parameters (Å, degrees): 7.4617 7.5435 7.5499 90.22 118.71 119.33
Space group P-1 (No. 2)
Unique sites:
Rb (0.0023, 0.2594, 0.2317) x2
Ba (0.5000, 0.0000, 0.5000) x1
Ni (0.5000, 0.5000, 0.0000) x1
Cl (0.0520, 0.3134, 0.8032) x2
Cl (0.4532, 0.3121, 0.7015) x2
Cl (0.4791, 0.2136, 0.1563) x2

Main lines, in order of falling intensity (10 to 90 degrees two-theta):
2theta	I (rel.)	index
23.54	100	1 0 -2
33.06	67	2 0 0
23.59	56	1 -2 0
33.52	52	0 2 -2
33.68	48	-2 2 2
22.99	46	0 1 1
23.85	45	-2 1 1
23.26	39	1 -1 1
41.42	34	2 -3 1
40.83	30	-1 1 3
48.25	26	2 0 -4
54.26	24	1 2 -4

Record 3
Starting from a DFT-relaxed cell (GGA-PBE, Alexandria), the powder diffractogram of Cs2CuSe6S2 was computed for Cu Kα, 1.54184 Å.
Kinematic intensities with the Lorentz-polarization factor, no thermal factor.

Lattice parameters (Å, degrees): 13.6658 7.1845 7.7147 90.00 99.59 90.00
Space group C2/m (No. 12)
Unique sites:
Cs (0.2327, 0.0000, 0.2092) x4
Cu (0.0000, 0.5000, 0.5000) x2
Se (0.0042, 0.3157, 0.2500) x8
Se (0.2177, 0.0000, 0.7023) x4
S (0.0703, 0.0000, 0.7728) x4

Main lines, in order of falling intensity (10 to 90 degrees two-theta):
2theta	I (rel.)	index
23.38	100	0 0 2
26.45	58	4 0 0
28.15	45	2 2 0
35.41	40	2 2 -2
32.43	27	4 0 -2
38.37	22	2 2 2
48.96	22	7 1 0
45.87	21	1 3 2
51.05	21	4 0 -4
50.48	18	6 2 -2
47.80	17	0 0 4
35.64	15	3 1 2

Record 4
Starting from a DFT-relaxed cell (GGA-PBE, Alexandria), the powder diffractogram of PrTa4 was computed for Cu Kα, 1.54184 Å.
Kinematic intensities with the Lorentz-polarization factor, no thermal factor.

Lattice parameters (Å, degrees): 4.9361 4.9361 4.9361 90.00 90.00 90.00
Space group Pm-3m (No. 221)
Unique sites:
Pr (0.0000, 0.0000, 0.0000) x1
Ta (0.0000, 0.0000, 0.5000) x3
Ta (0.5000, 0.5000, 0.5000) x1

Main lines, in order of falling intensity (10 to 90 degrees two-theta):
2theta	I (rel.)	index
36.40	100	2 0 0
31.39	88	1 1 1
52.43	71	2 2 0
62.39	38	3 1 1
88.61	34	4 2 0
65.51	24	2 2 2
85.81	16	3 3 1
17.97	16	1 0 0
25.52	14	1 1 0
77.32	11	4 0 0
40.88	8	2 1 0
44.98	6	2 1 1

Record 5
Starting from a DFT-relaxed cell (GGA-PBE, Alexandria), the powder diffractogram of Hf5Ga2Bi was computed for Cu Kα, 1.54184 Å.
Kinematic intensities with the Lorentz-polarization factor, no thermal factor.

Lattice parameters (Å, degrees): 7.2683 7.2683 12.5490 90.00 90.00 90.00
Space group I4/mcm (No. 140)
Unique sites:
Hf (0.0000, 0.0000, 0.0000) x4
Hf (0.1545, 0.3455, 0.1485) x16
Ga (0.1408, 0.3592, 0.5000) x8
Bi (0.0000, 0.0000, 0.2500) x4

Main lines, in order of falling intensity (10 to 90 degrees two-theta):
2theta	I (rel.)	index
34.95	100	2 1 3
39.19	60	3 1 0
33.46	33	1 1 4
37.89	29	2 0 4
56.65	20	4 2 0
73.76	20	4 4 0
28.36	17	2 1 1
61.69	15	3 3 4
58.84	13	0 0 8
58.72	12	4 0 4
73.03	10	3 1 8
45.64	7	2 2 4

Record 6
Starting from a DFT-relaxed cell (GGA-PBE, Alexandria), the powder diffractogram of CaCeTh was computed for Cu Kα, 1.54184 Å.
Kinematic intensities with the Lorentz-polarization factor, no thermal factor.

Lattice parameters (Å, degrees): 3.5022 3.5022 16.6220 90.00 90.00 90.00
Space group I4mm (No. 107)
Unique sites:
Ca (0.0000, 0.0000, 0.0000) x2
Ce (0.0000, 0.0000, 0.6797) x2
Th (0.0000, 0.0000, 0.3248) x2

Main lines, in order of falling intensity (10 to 90 degrees two-theta):
2theta	I (rel.)	index
30.19	100	1 0 3
10.64	60	0 0 2
36.28	32	1 1 0
61.53	27	2 1 3
49.36	23	1 1 6
37.29	21	1 0 5
32.31	19	0 0 6
26.00	17	1 0 1
56.32	13	1 0 9
37.91	13	1 1 2
52.24	11	2 0 0
62.78	11	2 0 6

Record 7
Starting from a DFT-relaxed cell (GGA-PBE, Alexandria), the powder diffractogram of DyTm5Mg6 was computed for Cu Kα, 1.54184 Å.
Kinematic intensities with the Lorentz-polarization factor, no thermal factor.

Lattice parameters (Å, degrees): 5.3341 7.4652 8.4336 90.00 108.38 90.00
Space group P2/m (No. 10)
Unique sites:
Dy (0.0000, 0.0000, 0.0000) x1
Tm (0.0000, 0.5000, 0.0000) x1
Tm (0.3319, 0.0000, 0.6655) x2
Tm (0.3332, 0.5000, 0.6680) x2
Mg (0.1684, 0.2509, 0.3345) x4
Mg (0.5000, 0.2508, 0.0000) x2

Main lines, in order of falling intensity (10 to 90 degrees two-theta):
2theta	I (rel.)	index
33.78	100	1 2 1
23.58	66	1 0 1
33.60	51	0 0 3
60.20	38	3 2 0
23.84	32	0 2 0
41.61	30	0 2 3
60.55	19	0 4 3
48.25	18	2 0 2
54.38	14	3 0 0
54.51	14	2 2 2
54.89	14	1 4 1
71.06	12	2 4 2

Record 8
Starting from a DFT-relaxed cell (GGA-PBE, Alexandria), the powder diffractogram of PaSi2BO8 was computed for Cu Kα, 1.54184 Å.
Kinematic intensities with the Lorentz-polarization factor, no thermal factor.

Lattice parameters (Å, degrees): 4.9992 4.9992 5.9336 90.00 90.00 120.00
Space group P-3m1 (No. 164)
Unique sites:
Pa (0.0000, 0.0000, 0.0000) x1
Si (0.3333, 0.6667, 0.2520) x2
B (0.0000, 0.0000, 0.5000) x1
O (0.1522, 0.3044, 0.3239) x6
O (0.3333, 0.6667, 0.9779) x2

Main lines, in order of falling intensity (10 to 90 degrees two-theta):
2theta	I (rel.)	index
25.47	100	0 1 1
20.51	100	1 0 0
39.10	58	1 1 1
14.93	58	0 0 1
36.72	54	1 0 2
35.93	46	1 1 0
44.55	30	0 2 1
52.32	28	2 0 2
58.51	26	1 2 1
65.10	25	2 1 2
47.57	24	1 1 2
50.75	23	1 0 3

Record 9
Starting from a DFT-relaxed cell (GGA-PBE, Alexandria), the powder diffractogram of HgSeI2 was computed for Cu Kα, 1.54184 Å.
Kinematic intensities with the Lorentz-polarization factor, no thermal factor.

Lattice parameters (Å, degrees): 5.8426 6.8782 8.6424 89.82 76.43 82.17
Space group P1 (No. 1)
Unique sites:
Hg (0.0000, 0.0000, 0.0000) x1
Hg (0.3891, 0.4381, 0.0677) x1
Se (0.0409, 0.6120, 0.9336) x1
Se (0.7596, 0.2449, 0.8385) x1
I (0.1479, 0.1368, 0.2603) x1
I (0.2916, 0.6135, 0.6332) x1
I (0.5482, 0.9792, 0.7328) x1
I (0.6184, 0.6314, 0.2648) x1

Main lines, in order of falling intensity (10 to 90 degrees two-theta):
2theta	I (rel.)	index
10.54	100	0 0 1
26.11	61	-1 1 1
22.42	59	1 -1 1
23.37	35	1 1 -1
25.93	33	1 1 2
29.40	30	1 0 -2
42.41	26	0 2 3
29.57	23	1 2 1
47.59	21	2 0 4
33.91	21	2 0 2
21.85	20	1 -1 0
31.05	18	1 1 -2

Number 2 is which compound?
Rb2BaNiCl6